This entry pairs a crystal structure of RbPu2TlCl8 with its theoretical XRD peak list. Radiation: copper Kα. Structure: a DFT-relaxed cell (PBE, Alexandria).

Top 10 peaks for 15° ≤ 2θ ≤ 90°, by intensity:
hkl  two_theta  I_rel
1 0 -1  17.3  100
1 0 1  18.0  76
1 2 0  24.4  76
2 2 -1  35.3  52
0 2 1  24.0  52
1 2 -2  34.3  36
2 2 1  35.9  33
0 2 3  42.4  31
0 0 2  24.2  28
1 2 2  35.0  26

Crystal structure
Lattice parameters (Å, degrees): 6.880 8.602 7.359 90.00 92.02 90.00
Space group P2/m (No. 10)
One atom of each set of equivalent atoms:
Rb1 0.000 0.000 0.000 x1
Pu1 0.500 0.251 0.500 x2
Tl1 0.000 0.500 0.000 x1
Cl1 0.278 0.255 0.197 x4
Cl2 0.288 0.500 0.630 x2
Cl3 0.289 0.000 0.628 x2